Sm2Al3GaAu4: computed powder XRD pattern (Cu Kα (weighted mean of Kα1 and Kα2)), based on a DFT-relaxed cell (PBE, Alexandria).

Main lines, most intense first (10 to 90 degrees two-theta):
- (1 1 2), 33.50°, I = 100
- (2 0 0), 41.08°, I = 63
- (1 1 1), 29.98°, I = 51
- (1 0 3), 32.67°, I = 48
- (1 0 2), 26.43°, I = 30
- (1 1 4), 45.17°, I = 25
- (1 0 5), 47.94°, I = 25
- (2 1 3), 53.45°, I = 24
- (3 1 2), 70.03°, I = 24
- (0 0 3), 25.40°, I = 23

Structural model:
```
data_Sm2Al3GaAu4
_cell_length_a 4.395
_cell_length_b 4.395
_cell_length_c 10.519
_cell_angle_alpha 90.00
_cell_angle_beta 90.00
_cell_angle_gamma 90.00
_symmetry_space_group_name_H-M 'P -4 m 2'
_symmetry_Int_Tables_number 115
_symmetry_space_group_name_Hall 'P -4 -2'
loop_
_atom_site_label
_atom_site_type_symbol
_atom_site_fract_x
_atom_site_fract_y
_atom_site_fract_z
_atom_site_occupancy
Sm1 Sm 0.000 0.500 0.249 1
Al1 Al 0.000 0.500 0.869 1
Al2 Al 0.500 0.500 0.500 1
Ga1 Ga 0.000 0.000 0.500 1
Au1 Au 0.000 0.000 0.000 1
Au2 Au 0.000 0.500 0.633 1
Au3 Au 0.500 0.500 0.000 1
```